1.
Simulated powder X-ray diffraction pattern
Compound: Li2Pd6Pb
Radiation: Cu Ka
Structure: a PBE-relaxed structure

Cell: 4.468 4.468 8.199 Å, 90.00 90.00 120.00°
Atoms (fractional coordinates):
Li 0.333 0.667 0.232
Li 0.667 0.333 0.768
Pd 0.000 0.000 0.333
Pd 0.000 0.000 0.667
Pd 0.333 0.667 0.538
Pd 0.333 0.667 0.876
Pd 0.667 0.333 0.124
Pd 0.667 0.333 0.462
Pb 0.000 0.000 0.000

Main lines, sorted by position (10° ≤ 2θ ≤ 90°):
- 2θ 21.68, rel. 8
- 2θ 22.99, rel. 11
- 2θ 25.46, rel. 19
- 2θ 40.39, rel. 100
- 2θ 46.28, rel. 7
- 2θ 48.34, rel. 3
- 2θ 58.45, rel. 18
- 2θ 73.44, rel. 33
- 2θ 82.80, rel. 3
- 2θ 87.33, rel. 10

---

2.
Simulated powder X-ray diffraction pattern
Compound: Li8PdPb6
Radiation: Cu Ka
Structure: a PBE-relaxed structure

Cell: 7.285 7.285 7.285 Å, 68.59 68.59 68.59°
Atoms (fractional coordinates):
Li 0.141 0.436 0.621
Li 0.234 0.234 0.234
Li 0.379 0.859 0.564
Li 0.436 0.621 0.141
Li 0.564 0.379 0.859
Li 0.621 0.141 0.436
Li 0.766 0.766 0.766
Li 0.859 0.564 0.379
Pd 0.500 0.500 0.500
Pb 0.076 0.856 0.353
Pb 0.144 0.647 0.924
Pb 0.353 0.076 0.856
Pb 0.647 0.924 0.144
Pb 0.856 0.353 0.076
Pb 0.924 0.144 0.647

Main lines, sorted by position (10° ≤ 2θ ≤ 90°):
- 2θ 13.55, rel. 25
- 2θ 25.63, rel. 29
- 2θ 27.05, rel. 100
- 2θ 29.70, rel. 18
- 2θ 32.37, rel. 20
- 2θ 33.79, rel. 27
- 2θ 35.10, rel. 59
- 2θ 39.28, rel. 22
- 2θ 39.97, rel. 40
- 2θ 56.00, rel. 17

---

3.
Simulated powder X-ray diffraction pattern
Compound: Li8Pd6Pb
Radiation: Cu Ka
Structure: a PBE-relaxed structure

Cell: 6.776 6.776 6.776 Å, 70.18 70.18 70.18°
Atoms (fractional coordinates):
Li 0.040 0.715 0.377
Li 0.165 0.165 0.165
Li 0.285 0.623 0.960
Li 0.377 0.040 0.715
Li 0.623 0.960 0.285
Li 0.715 0.377 0.040
Li 0.835 0.835 0.835
Li 0.960 0.285 0.623
Pd 0.116 0.460 0.799
Pd 0.201 0.884 0.540
Pd 0.460 0.799 0.116
Pd 0.540 0.201 0.884
Pd 0.799 0.116 0.460
Pd 0.884 0.540 0.201
Pb 0.500 0.500 0.500

Main lines, sorted by position (10° ≤ 2θ ≤ 90°):
- 2θ 14.36, rel. 27
- 2θ 17.51, rel. 100
- 2θ 28.92, rel. 58
- 2θ 40.10, rel. 56
- 2θ 42.57, rel. 46
- 2θ 44.05, rel. 46
- 2θ 50.19, rel. 12
- 2θ 59.66, rel. 14
- 2θ 59.90, rel. 16
- 2θ 74.55, rel. 17

---

4.
Simulated powder X-ray diffraction pattern
Compound: Li6PdPb2
Radiation: Cu Ka
Structure: a PBE-relaxed structure

Cell: 7.783 7.783 3.107 Å, 90.97 90.97 59.92°
Atoms (fractional coordinates):
Li 0.181 0.500 0.012
Li 0.181 0.819 0.000
Li 0.500 0.181 0.012
Li 0.500 0.819 0.988
Li 0.819 0.181 0.000
Li 0.819 0.500 0.988
Pd 0.500 0.500 0.500
Pb 0.167 0.167 0.500
Pb 0.833 0.833 0.500

Main lines, sorted by position (10° ≤ 2θ ≤ 90°):
- 2θ 13.14, rel. 11
- 2θ 22.86, rel. 100
- 2θ 28.73, rel. 18
- 2θ 36.71, rel. 23
- 2θ 37.04, rel. 22
- 2θ 37.34, rel. 22
- 2θ 40.16, rel. 28
- 2θ 46.71, rel. 16
- 2θ 49.89, rel. 8
- 2θ 63.26, rel. 13

---

5.
Simulated powder X-ray diffraction pattern
Compound: Li6Pd2Pb
Radiation: Cu Ka
Structure: a PBE-relaxed structure

Cell: 5.223 5.223 5.223 Å, 94.38 94.38 94.38°
Atoms (fractional coordinates):
Li 0.000 0.327 0.673
Li 0.000 0.673 0.327
Li 0.327 0.000 0.673
Li 0.327 0.673 0.000
Li 0.673 0.000 0.327
Li 0.673 0.327 0.000
Pd 0.162 0.162 0.162
Pd 0.838 0.838 0.838
Pb 0.500 0.500 0.500

Main lines, sorted by position (10° ≤ 2θ ≤ 90°):
- 2θ 17.09, rel. 9
- 2θ 23.22, rel. 100
- 2θ 32.25, rel. 13
- 2θ 40.11, rel. 56
- 2θ 40.79, rel. 29
- 2θ 47.46, rel. 15
- 2θ 52.93, rel. 20
- 2θ 58.55, rel. 18
- 2θ 64.33, rel. 12
- 2θ 73.81, rel. 19

---

6.
Simulated powder X-ray diffraction pattern
Compound: Li5Pd5Pb2
Radiation: Cu Ka
Structure: a PBE-relaxed structure

Cell: 5.574 5.574 9.452 Å, 109.09 109.09 45.84°
Atoms (fractional coordinates):
Li 0.000 0.000 0.000
Li 0.110 0.110 0.766
Li 0.159 0.159 0.496
Li 0.841 0.841 0.504
Li 0.890 0.890 0.234
Pd 0.249 0.249 0.246
Pd 0.341 0.341 0.002
Pd 0.500 0.500 0.500
Pd 0.659 0.659 0.998
Pd 0.751 0.751 0.754
Pb 0.417 0.417 0.746
Pb 0.583 0.583 0.254

Main lines, sorted by position (10° ≤ 2θ ≤ 90°):
- 2θ 22.48, rel. 100
- 2θ 24.04, rel. 39
- 2θ 29.42, rel. 21
- 2θ 39.13, rel. 87
- 2θ 39.34, rel. 71
- 2θ 40.85, rel. 32
- 2θ 41.61, rel. 31
- 2θ 43.93, rel. 19
- 2θ 53.55, rel. 17
- 2θ 59.73, rel. 21

---

7.
Simulated powder X-ray diffraction pattern
Compound: LiPdPb2
Radiation: Cu Ka
Structure: a PBE-relaxed structure

Cell: 5.433 4.397 7.447 Å, 90.00 90.00 90.00°
Atoms (fractional coordinates):
Li 0.000 0.000 0.000
Li 0.500 0.000 0.000
Pd 0.250 0.500 0.106
Pd 0.750 0.500 0.894
Pb 0.250 0.000 0.370
Pb 0.250 0.500 0.729
Pb 0.750 0.000 0.630
Pb 0.750 0.500 0.271

Main lines, sorted by position (10° ≤ 2θ ≤ 90°):
- 2θ 23.50, rel. 38
- 2θ 28.74, rel. 100
- 2θ 32.97, rel. 57
- 2θ 35.66, rel. 93
- 2θ 39.93, rel. 45
- 2θ 40.89, rel. 20
- 2θ 41.07, rel. 42
- 2θ 53.63, rel. 29
- 2θ 58.61, rel. 30
- 2θ 60.63, rel. 20

---

8.
Simulated powder X-ray diffraction pattern
Compound: Li5Pd2Pb5
Radiation: Cu Ka
Structure: a PBE-relaxed structure

Cell: 7.771 7.771 9.510 Å, 125.89 125.89 33.59°
Atoms (fractional coordinates):
Li 0.000 0.000 0.000
Li 0.074 0.074 0.384
Li 0.253 0.253 0.247
Li 0.747 0.747 0.753
Li 0.926 0.926 0.616
Pd 0.139 0.139 0.727
Pd 0.861 0.861 0.273
Pb 0.331 0.331 0.680
Pb 0.368 0.368 0.067
Pb 0.500 0.500 0.500
Pb 0.632 0.632 0.933
Pb 0.669 0.669 0.320

Main lines, sorted by position (10° ≤ 2θ ≤ 90°):
- 2θ 21.18, rel. 75
- 2θ 21.89, rel. 30
- 2θ 24.48, rel. 30
- 2θ 24.86, rel. 44
- 2θ 28.94, rel. 32
- 2θ 34.65, rel. 79
- 2θ 35.36, rel. 100
- 2θ 37.55, rel. 26
- 2θ 38.04, rel. 53
- 2θ 40.17, rel. 45

---

Copy entry 5 word for word.
Simulated powder X-ray diffraction pattern
Compound: Li6Pd2Pb
Radiation: Cu Ka
Structure: a PBE-relaxed structure

Cell: 5.223 5.223 5.223 Å, 94.38 94.38 94.38°
Atoms (fractional coordinates):
Li 0.000 0.327 0.673
Li 0.000 0.673 0.327
Li 0.327 0.000 0.673
Li 0.327 0.673 0.000
Li 0.673 0.000 0.327
Li 0.673 0.327 0.000
Pd 0.162 0.162 0.162
Pd 0.838 0.838 0.838
Pb 0.500 0.500 0.500

Main lines, sorted by position (10° ≤ 2θ ≤ 90°):
- 2θ 17.09, rel. 9
- 2θ 23.22, rel. 100
- 2θ 32.25, rel. 13
- 2θ 40.11, rel. 56
- 2θ 40.79, rel. 29
- 2θ 47.46, rel. 15
- 2θ 52.93, rel. 20
- 2θ 58.55, rel. 18
- 2θ 64.33, rel. 12
- 2θ 73.81, rel. 19

---

> Which formula does entry 5 have?

Li6Pd2Pb

---

> What is the formula in the sixth record?

Li5Pd5Pb2